[1]
Diffraction record for NiAuBr2. The powder XRD pattern is simulated, not measured: it uses DFT lattice parameters and positions (PBE) and copper Kα.
Intensities are scaled so that the largest is 100.

Structural model:
```
data_NiAuBr2
_cell_length_a 13.464
_cell_length_b 3.504
_cell_length_c 4.775
_cell_angle_alpha 90.00
_cell_angle_beta 100.60
_cell_angle_gamma 90.00
_symmetry_space_group_name_H-M 'C 1 2/m 1'
_symmetry_Int_Tables_number 12
loop_
_symmetry_equiv_pos_as_xyz
'x,y,z'
'-x,-y,-z'
'-x,y,-z'
'x,-y,z'
'x+1/2,y+1/2,z'
'-x+1/2,-y+1/2,-z'
'-x+1/2,y+1/2,-z'
'x+1/2,-y+1/2,z'
loop_
_atom_site_label
_atom_site_type_symbol
_atom_site_fract_x
_atom_site_fract_y
_atom_site_fract_z
Ni1 Ni 0.000 0.000 0.000
Au1 Au 0.000 0.500 0.500
Br1 Br 0.129 0.500 0.173
```

Principal peaks in the range 15 to 90 degrees two-theta, low angle first:
index  2theta  I/Imax
2 0 1  25.20  73
1 1 0  26.31  100
4 0 -1  30.05  29
1 1 1  33.34  90
3 1 -1  35.97  52
2 0 -2  38.28  59
3 1 1  39.91  96
5 1 -1  44.37  73
3 1 -2  48.05  28
8 0 0  55.54  36

---

[2]
Diffraction record for NiAuBr2. The powder XRD pattern is simulated, not measured: it uses DFT lattice parameters and positions (PBE) and copper Kα.
Intensities are scaled so that the largest is 100.

Structural model:
```
data_NiAuBr2
_cell_length_a 3.479
_cell_length_b 3.682
_cell_length_c 15.420
_cell_angle_alpha 90.00
_cell_angle_beta 90.00
_cell_angle_gamma 90.00
_symmetry_space_group_name_H-M 'I m m 2'
_symmetry_Int_Tables_number 44
loop_
_symmetry_equiv_pos_as_xyz
'x,y,z'
'-x,-y,z'
'-x,y,z'
'x,-y,z'
'x+1/2,y+1/2,z+1/2'
'-x+1/2,-y+1/2,z+1/2'
'-x+1/2,y+1/2,z+1/2'
'x+1/2,-y+1/2,z+1/2'
loop_
_atom_site_label
_atom_site_type_symbol
_atom_site_fract_x
_atom_site_fract_y
_atom_site_fract_z
Ni1 Ni 0.000 0.000 0.000
Au1 Au 0.000 0.500 0.628
Br1 Br 0.000 0.000 0.455
Br2 Br 0.000 0.500 0.211
```

Principal peaks in the range 15 to 90 degrees two-theta, low angle first:
index  2theta  I/Imax
0 0 4  23.07  19
0 1 1  24.86  20
1 0 1  26.26  19
0 1 3  29.85  53
1 0 3  31.04  19
1 1 2  37.43  100
1 0 5  39.03  48
1 1 4  42.77  36
0 1 7  48.14  22
1 2 5  64.77  25

---

[3]
Diffraction record for Ni2AuBr. The powder XRD pattern is simulated, not measured: it uses DFT lattice parameters and positions (PBE) and copper Kα.
Intensities are scaled so that the largest is 100.

Structural model:
```
data_Ni2AuBr
_cell_length_a 3.1958
_cell_length_b 3.1958
_cell_length_c 23.9523
_cell_angle_alpha 90.00
_cell_angle_beta 90.00
_cell_angle_gamma 120.00
_symmetry_space_group_name_H-M 'R 3 m'
_symmetry_Int_Tables_number 160
_symmetry_space_group_name_Hall 'R 3 -2"'
loop_
_atom_site_label
_atom_site_type_symbol
_atom_site_fract_x
_atom_site_fract_y
_atom_site_fract_z
Ni1 Ni 0.0000 0.0000 0.0000
Ni2 Ni 0.0000 0.0000 0.2704
Au1 Au 0.0000 0.0000 0.7431
Br1 Br 0.0000 0.0000 0.5393
```

Principal peaks in the range 15 to 90 degrees two-theta, low angle first:
index  2theta  I/Imax
0 0 6  22.27  28
1 0 1  32.57  23
0 1 2  33.22  15
1 0 4  35.74  100
0 1 5  37.53  32
1 0 7  41.99  19
0 1 8  44.58  27
0 1 11  53.55  24
1 1 0  57.70  39
1 1 15  86.08  18

---

[4]
Diffraction record for NpAu3Br9. The powder XRD pattern is simulated, not measured: it uses DFT lattice parameters and positions (PBE) and copper Kα.
Intensities are scaled so that the largest is 100.

Structural model:
```
data_NpAu3Br9
_cell_length_a 18.096
_cell_length_b 11.061
_cell_length_c 14.053
_cell_angle_alpha 90.00
_cell_angle_beta 122.32
_cell_angle_gamma 90.00
_symmetry_space_group_name_H-M 'C 1 c 1'
_symmetry_Int_Tables_number 9
loop_
_symmetry_equiv_pos_as_xyz
'x,y,z'
'x,-y,z+1/2'
'x+1/2,y+1/2,z'
'x+1/2,-y+1/2,z+1/2'
loop_
_atom_site_label
_atom_site_type_symbol
_atom_site_fract_x
_atom_site_fract_y
_atom_site_fract_z
Np1 Np 0.000 0.022 0.000
Au1 Au 0.122 0.268 0.875
Au2 Au 0.375 0.147 0.001
Au3 Au 0.467 0.039 0.654
Br1 Br 0.000 0.248 0.905
Br2 Br 0.084 0.125 0.201
Br3 Br 0.095 0.471 0.340
Br4 Br 0.151 0.054 0.535
Br5 Br 0.243 0.271 0.845
Br6 Br 0.333 0.074 0.469
Br7 Br 0.349 0.403 0.467
Br8 Br 0.417 0.416 0.801
Br9 Br 0.487 0.313 0.107
```

Principal peaks in the range 15 to 90 degrees two-theta, low angle first:
index  2theta  I/Imax
1 1 -2  15.10  63
3 1 -2  17.67  100
2 2 0  19.80  33
0 2 2  21.96  21
1 3 -1  25.04  50
5 1 -2  25.91  36
1 1 3  27.37  42
6 0 -4  31.77  22
1 1 4  34.65  26
6 2 -1  35.72  22

---

[5]
Diffraction record for Rb8Au3BrO2. The powder XRD pattern is simulated, not measured: it uses DFT lattice parameters and positions (PBE) and copper Kα.
Intensities are scaled so that the largest is 100.

Structural model:
```
data_Rb8Au3BrO2
_cell_length_a 8.5195
_cell_length_b 8.5195
_cell_length_c 10.2766
_cell_angle_alpha 90.00
_cell_angle_beta 90.00
_cell_angle_gamma 120.00
_symmetry_space_group_name_H-M 'P -3 m 1'
_symmetry_Int_Tables_number 164
_symmetry_space_group_name_Hall '-P 3 2"'
loop_
_atom_site_label
_atom_site_type_symbol
_atom_site_fract_x
_atom_site_fract_y
_atom_site_fract_z
Rb1 Rb 0.1778 0.3557 0.2939
Rb2 Rb 0.3333 0.6667 0.9369
Au1 Au 0.0000 0.0000 0.0000
Au2 Au 0.3333 0.6667 0.6011
Br1 Br 0.0000 0.0000 0.5000
O1 O 0.3333 0.6667 0.1781
```

Principal peaks in the range 15 to 90 degrees two-theta, low angle first:
index  2theta  I/Imax
1 1 0  20.85  84
0 2 1  25.66  100
1 1 2  27.19  70
1 0 3  28.73  53
2 0 2  29.81  52
3 0 0  36.54  20
0 3 2  40.67  25
2 1 3  41.77  34
2 2 0  42.44  49
1 2 4  48.16  21

---

[6]
Diffraction record for Rb5Au2BrO. The powder XRD pattern is simulated, not measured: it uses DFT lattice parameters and positions (PBE) and copper Kα.
Intensities are scaled so that the largest is 100.

Structural model:
```
data_Rb5Au2BrO
_cell_length_a 5.469
_cell_length_b 7.996
_cell_length_c 16.732
_cell_angle_alpha 90.00
_cell_angle_beta 90.00
_cell_angle_gamma 90.00
_symmetry_space_group_name_H-M 'I m m m'
_symmetry_Int_Tables_number 71
_symmetry_space_group_name_Hall '-I 2 2'
loop_
_atom_site_label
_atom_site_type_symbol
_atom_site_fract_x
_atom_site_fract_y
_atom_site_fract_z
Rb1 Rb 0.000 0.000 0.000
Rb2 Rb 0.000 0.260 0.381
Au1 Au 0.000 0.000 0.209
Br1 Br 0.000 0.500 0.000
O1 O 0.000 0.500 0.500
```

Principal peaks in the range 15 to 90 degrees two-theta, low angle first:
index  2theta  I/Imax
0 1 3  19.40  33
1 1 0  19.67  58
1 1 2  22.38  87
1 2 1  28.16  100
0 2 4  30.94  81
1 0 5  31.34  100
1 2 3  32.04  32
2 0 0  32.75  57
2 2 4  45.67  54
1 4 5  56.18  40

---

[7]
Diffraction record for PAuBr. The powder XRD pattern is simulated, not measured: it uses DFT lattice parameters and positions (PBE) and copper Kα.
Intensities are scaled so that the largest is 100.

Structural model:
```
data_PAuBr
_cell_length_a 3.619
_cell_length_b 3.619
_cell_length_c 11.626
_cell_angle_alpha 90.00
_cell_angle_beta 90.00
_cell_angle_gamma 90.00
_symmetry_space_group_name_H-M 'I 4 m m'
_symmetry_Int_Tables_number 107
_symmetry_space_group_name_Hall 'I 4 -2'
loop_
_atom_site_label
_atom_site_type_symbol
_atom_site_fract_x
_atom_site_fract_y
_atom_site_fract_z
P1 P 0.000 0.000 0.000
Au1 Au 0.000 0.000 0.478
Br1 Br 0.000 0.000 0.195
```

Principal peaks in the range 15 to 90 degrees two-theta, low angle first:
index  2theta  I/Imax
0 0 2  15.24  72
1 0 1  25.78  100
0 0 4  30.76  44
1 0 3  33.89  86
1 1 0  35.07  75
1 1 2  38.44  30
1 1 4  47.33  53
2 0 0  50.43  27
2 0 4  60.25  26
2 1 3  62.16  31

---

[8]
Diffraction record for Pb5AuBr12. The powder XRD pattern is simulated, not measured: it uses DFT lattice parameters and positions (PBE) and copper Kα.
Intensities are scaled so that the largest is 100.

Structural model:
```
data_Pb5AuBr12
_cell_length_a 7.821
_cell_length_b 13.231
_cell_length_c 13.974
_cell_angle_alpha 90.00
_cell_angle_beta 93.46
_cell_angle_gamma 90.00
_symmetry_space_group_name_H-M 'C 1 2/m 1'
_symmetry_Int_Tables_number 12
loop_
_symmetry_equiv_pos_as_xyz
'x,y,z'
'-x,-y,-z'
'-x,y,-z'
'x,-y,z'
'x+1/2,y+1/2,z'
'-x+1/2,-y+1/2,-z'
'-x+1/2,y+1/2,-z'
'x+1/2,-y+1/2,z'
loop_
_atom_site_label
_atom_site_type_symbol
_atom_site_fract_x
_atom_site_fract_y
_atom_site_fract_z
Pb1 Pb 0.000 0.000 0.000
Pb2 Pb 0.000 0.156 0.500
Pb3 Pb 0.000 0.334 0.000
Au1 Au 0.000 0.500 0.500
Br1 Br 0.137 0.000 0.633
Br2 Br 0.156 0.167 0.880
Br3 Br 0.157 0.500 0.880
Br4 Br 0.159 0.359 0.603
```

Principal peaks in the range 15 to 90 degrees two-theta, low angle first:
index  2theta  I/Imax
1 3 -1  23.85  52
2 0 -2  25.47  44
2 0 2  26.84  68
1 3 -3  29.73  100
1 3 3  30.63  90
2 0 -4  33.41  41
1 3 -5  39.35  47
3 3 -1  40.43  64
1 3 5  40.53  57
3 3 1  41.12  65

---

[9]
Diffraction record for Pd2AuBr6. The powder XRD pattern is simulated, not measured: it uses DFT lattice parameters and positions (PBE) and copper Kα.
Intensities are scaled so that the largest is 100.

Structural model:
```
data_Pd2AuBr6
_cell_length_a 11.620
_cell_length_b 13.113
_cell_length_c 8.041
_cell_angle_alpha 90.00
_cell_angle_beta 96.38
_cell_angle_gamma 90.00
_symmetry_space_group_name_H-M 'C 1 2/c 1'
_symmetry_Int_Tables_number 15
loop_
_symmetry_equiv_pos_as_xyz
'x,y,z'
'-x,-y,-z'
'-x,y,-z+1/2'
'x,-y,z+1/2'
'x+1/2,y+1/2,z'
'-x+1/2,-y+1/2,-z'
'-x+1/2,y+1/2,-z+1/2'
'x+1/2,-y+1/2,z+1/2'
loop_
_atom_site_label
_atom_site_type_symbol
_atom_site_fract_x
_atom_site_fract_y
_atom_site_fract_z
Pd1 Pd 0.250 0.000 0.249
Au1 Au 0.000 0.250 0.250
Br1 Br 0.105 0.112 0.089
Br2 Br 0.106 0.388 0.091
Br3 Br 0.250 0.109 0.499
```

Principal peaks in the range 15 to 90 degrees two-theta, low angle first:
index  2theta  I/Imax
1 1 1  15.70  83
2 2 0  20.50  100
3 1 1  27.67  45
2 2 -2  29.11  42
3 3 -1  32.05  67
0 4 2  35.42  65
1 3 -3  39.65  33
4 4 0  41.69  24
4 4 -2  45.95  21
2 6 2  50.96  24

---

[10]
Diffraction record for Pr4AuBr5. The powder XRD pattern is simulated, not measured: it uses DFT lattice parameters and positions (PBE) and copper Kα.
Intensities are scaled so that the largest is 100.

Structural model:
```
data_Pr4AuBr5
_cell_length_a 18.896
_cell_length_b 4.177
_cell_length_c 8.976
_cell_angle_alpha 90.00
_cell_angle_beta 102.62
_cell_angle_gamma 90.00
_symmetry_space_group_name_H-M 'C 1 2/m 1'
_symmetry_Int_Tables_number 12
loop_
_symmetry_equiv_pos_as_xyz
'x,y,z'
'-x,-y,-z'
'-x,y,-z'
'x,-y,z'
'x+1/2,y+1/2,z'
'-x+1/2,-y+1/2,-z'
'-x+1/2,y+1/2,-z'
'x+1/2,-y+1/2,z'
loop_
_atom_site_label
_atom_site_type_symbol
_atom_site_fract_x
_atom_site_fract_y
_atom_site_fract_z
Pr1 Pr 0.004 0.000 0.232
Pr2 Pr 0.161 0.500 0.074
Au1 Au 0.000 0.500 0.000
Br1 Br 0.000 0.500 0.500
Br2 Br 0.169 0.000 0.324
Br3 Br 0.169 0.000 0.825
```

Principal peaks in the range 15 to 90 degrees two-theta, low angle first:
index  2theta  I/Imax
1 1 -1  23.64  13
6 0 0  29.05  51
1 1 -2  29.21  100
2 0 -4  40.19  20
5 1 2  41.38  39
7 1 -2  41.96  36
0 2 0  43.32  17
8 0 -4  50.86  12
6 2 0  53.01  19
2 2 -4  60.57  12

---

[11]
Diffraction record for Rb3Au2Br9. The powder XRD pattern is simulated, not measured: it uses DFT lattice parameters and positions (PBE) and copper Kα.
Intensities are scaled so that the largest is 100.

Structural model:
```
data_Rb3Au2Br9
_cell_length_a 7.5955
_cell_length_b 7.5955
_cell_length_c 9.3108
_cell_angle_alpha 90.00
_cell_angle_beta 90.00
_cell_angle_gamma 120.00
_symmetry_space_group_name_H-M 'P -3 m 1'
_symmetry_Int_Tables_number 164
_symmetry_space_group_name_Hall '-P 3 2"'
loop_
_atom_site_label
_atom_site_type_symbol
_atom_site_fract_x
_atom_site_fract_y
_atom_site_fract_z
Rb1 Rb 0.0000 0.0000 0.0000
Rb2 Rb 0.3333 0.6667 0.3512
Au1 Au 0.3333 0.6667 0.8297
Br1 Br 0.0000 0.5000 0.0000
Br2 Br 0.1669 0.3338 0.6768
```

Principal peaks in the range 15 to 90 degrees two-theta, low angle first:
index  2theta  I/Imax
0 1 1  16.50  56
1 1 0  23.42  48
2 0 1  28.78  40
0 2 2  33.36  100
1 1 3  37.43  27
3 0 0  41.16  23
2 2 0  47.89  71
4 0 2  59.62  24
2 4 2  79.84  31
6 0 0  89.34  24

---

[12]
Diffraction record for Rb8Au4Br. The powder XRD pattern is simulated, not measured: it uses DFT lattice parameters and positions (PBE) and copper Kα.
Intensities are scaled so that the largest is 100.

Structural model:
```
data_Rb8Au4Br
_cell_length_a 9.9309
_cell_length_b 9.9309
_cell_length_c 24.7878
_cell_angle_alpha 90.00
_cell_angle_beta 90.00
_cell_angle_gamma 120.00
_symmetry_space_group_name_H-M 'R -3 m'
_symmetry_Int_Tables_number 166
_symmetry_space_group_name_Hall '-R 3 2"'
loop_
_atom_site_label
_atom_site_type_symbol
_atom_site_fract_x
_atom_site_fract_y
_atom_site_fract_z
Rb1 Rb 0.0000 0.0000 0.2486
Rb2 Rb 0.0061 0.5031 0.7523
Au1 Au 0.0000 0.0000 0.5000
Au2 Au 0.0000 0.5000 0.5000
Br1 Br 0.0000 0.0000 0.0000
```

Principal peaks in the range 15 to 90 degrees two-theta, low angle first:
index  2theta  I/Imax
0 2 1  20.96  31
0 2 4  25.21  100
2 0 5  27.46  14
2 0 8  35.72  40
2 2 0  36.18  39
2 2 3  37.84  16
4 0 4  44.61  22
2 2 12  58.09  20
2 4 4  58.73  19
4 2 8  64.77  14

---

[13]
Diffraction record for Rb4AuBr5. The powder XRD pattern is simulated, not measured: it uses DFT lattice parameters and positions (PBE) and copper Kα.
Intensities are scaled so that the largest is 100.

Structural model:
```
data_Rb4AuBr5
_cell_length_a 10.640
_cell_length_b 10.640
_cell_length_c 6.956
_cell_angle_alpha 90.00
_cell_angle_beta 90.00
_cell_angle_gamma 90.00
_symmetry_space_group_name_H-M 'I 4'
_symmetry_Int_Tables_number 79
loop_
_symmetry_equiv_pos_as_xyz
'x,y,z'
'-y,x,z'
'-x,-y,z'
'y,-x,z'
'x+1/2,y+1/2,z+1/2'
'-y+1/2,x+1/2,z+1/2'
'-x+1/2,-y+1/2,z+1/2'
'y+1/2,-x+1/2,z+1/2'
loop_
_atom_site_label
_atom_site_type_symbol
_atom_site_fract_x
_atom_site_fract_y
_atom_site_fract_z
Rb1 Rb 0.096 0.701 0.000
Au1 Au 0.000 0.000 0.593
Br1 Br 0.000 0.000 0.971
Br2 Br 0.088 0.732 0.499
```

Principal peaks in the range 15 to 90 degrees two-theta, low angle first:
index  2theta  I/Imax
1 0 1  15.22  23
1 2 1  22.64  15
0 0 2  25.61  46
3 1 0  26.49  100
3 1 2  37.18  74
2 4 0  37.81  38
2 4 2  46.23  32
3 1 4  59.86  13
5 5 0  61.65  18
5 5 2  67.87  17